The following is a simulated powder X-ray diffraction pattern of ZrTiPb2O6. It was derived from a crystal structure in the Materials Project, relaxed with GGA-PBE, using CuKα.
Neutral-atom scattering factors, no anomalous dispersion.

Largest 10 diffraction maxima, in order of rising 2θ, 2θ from 10° to 80°:
(1 0 0), 2θ = 21.2°, d 4.193, I = 18; (0 1 1), 2θ = 21.3°, d 4.163, I = 20; (1 1 1), 2θ = 29.9°, d 2.987, I = 35; (-1 1 1), 2θ = 30.6°, d 2.924, I = 100; (1 1 -1), 2θ = 30.7°, d 2.909, I = 33; (0 2 0), 2θ = 31.0°, d 2.887, I = 33; (2 0 0), 2θ = 43.2°, d 2.096, I = 18; (0 2 2), 2θ = 43.5°, d 2.082, I = 16; (0 2 -2), 2θ = 44.7°, d 2.029, I = 17; (2 -2 0), 2θ = 54.3°, d 1.688, I = 27

Crystal structure
```
data_ZrTiPb2O6
_chemical_formula_sum 'Zr1 Ti1 Pb2 O6'
_symmetry_space_group_name_H-M 'P 1'
_symmetry_Int_Tables_number 1
_symmetry_space_group_name_Hall 'P 1'
_cell_length_a 4.1938
_cell_length_b 5.7754
_cell_length_c 5.8545
_cell_angle_alpha 88.52
_cell_angle_beta 88.91
_cell_angle_gamma 89.30
loop_
_atom_site_label
_atom_site_fract_x
_atom_site_fract_y
_atom_site_fract_z
Zr1 0.0000 0.0000 0.0000
Ti1 0.9730 0.4947 0.4926
Pb1 0.4523 0.9793 0.4663
Pb2 0.4576 0.4928 0.9434
O1 0.0277 0.2627 0.2844
O2 0.0343 0.7614 0.2909
O3 0.0380 0.2782 0.7681
O4 0.0392 0.7488 0.7668
O5 0.5114 0.0159 0.0416
O6 0.5379 0.5136 0.5269
```